The following is a simulated powder X-ray diffraction pattern of Dy2GaHgGe. It was derived from a cell relaxed with GGA-PBE, using Cu Kα (weighted mean of Kα1 and Kα2).
Kinematic intensities with the Lorentz-polarization factor, no thermal factor.

Most intense lines, 2θ = 10–80°, in order of falling intensity:
33.95°, 2.641 Å, I 100, hkl 2 1 1
41.46°, 2.178 Å, I 35, hkl 0 1 3
34.41°, 2.606 Å, I 27, hkl 2 0 -2
40.27°, 2.239 Å, I 26, hkl 0 2 0
31.16°, 2.870 Å, I 23, hkl 0 1 2
67.07°, 1.395 Å, I 17, hkl 4 1 -3
26.23°, 3.397 Å, I 15, hkl 1 1 -1
53.99°, 1.699 Å, I 15, hkl 2 2 -2
27.28°, 3.269 Å, I 14, hkl 2 0 1
26.81°, 3.325 Å, I 14, hkl 1 0 2

Unit cell a=7.2697 b=4.4788 c=7.4782 alpha=90.00 beta=90.01 gamma=90.00
Space group P2_1/m (No. 11)
Symmetry-distinct sites (fractional):
Dy (0.0025, 0.2500, 0.2185) (multiplicity 2)
Dy (0.4973, 0.2500, 0.2182) (multiplicity 2)
Ga (0.2505, 0.7500, 0.4198) (multiplicity 2)
Hg (0.2503, 0.2500, 0.6169) (multiplicity 2)
Ge (0.2498, 0.7500, 0.0857) (multiplicity 2)